[1]
Computed XRD peak list
Compound: CeIn3Pd3
Radiation: Cu Ka
Structure: a DFT-relaxed cell (GGA-PBE, Alexandria)

Principal peaks in the range 2θ from 10° to 90°, in order of rising 2θ:
2θ 21.71, I = 24; 2θ 25.70, I = 8; 2θ 27.08, I = 18; 2θ 27.35, I = 7; 2θ 38.08, I = 91; 2θ 39.24, I = 100; 2θ 55.83, I = 31; 2θ 68.81, I = 12; 2θ 69.59, I = 28; 2θ 71.90, I = 11

Structure:
```
data_CeIn3Pd3
_cell_length_a 7.286
_cell_length_b 7.286
_cell_length_c 7.286
_cell_angle_alpha 68.35
_cell_angle_beta 68.35
_cell_angle_gamma 68.35
_space_group_name_H-M_alt 'P 1'
_space_group_IT_number 1
loop_
_space_group_symop_operation_xyz
'x,y,z'
loop_
_atom_site_label
_atom_site_type_symbol
_atom_site_fract_x
_atom_site_fract_y
_atom_site_fract_z
_atom_site_occupancy
Ce1 Ce 0.171 0.171 0.171 1
Ce2 Ce 0.829 0.829 0.829 1
In1 In 0.070 0.370 0.699 1
In2 In 0.301 0.930 0.630 1
In3 In 0.370 0.699 0.070 1
In4 In 0.630 0.301 0.930 1
In5 In 0.699 0.070 0.370 1
In6 In 0.930 0.630 0.301 1
Pd1 Pd 0.142 0.757 0.455 1
Pd2 Pd 0.243 0.545 0.858 1
Pd3 Pd 0.455 0.142 0.757 1
Pd4 Pd 0.545 0.858 0.243 1
Pd5 Pd 0.757 0.455 0.142 1
Pd6 Pd 0.858 0.243 0.545 1
```

---

[2]
Computed XRD peak list
Compound: ReTc5Os
Radiation: Cu Ka
Structure: a DFT-relaxed cell (GGA-PBE, Alexandria)

Principal peaks in the range 2θ from 10° to 90°, in order of rising 2θ:
2θ 33.16, I = 12; 2θ 34.05, I = 21; 2θ 42.04, I = 25; 2θ 42.35, I = 24; 2θ 43.00, I = 100; 2θ 44.89, I = 13; 2θ 61.21, I = 13; 2θ 63.69, I = 16; 2θ 77.49, I = 13; 2θ 77.91, I = 12

Structure:
```
data_ReTc5Os
_cell_length_a 6.726
_cell_length_b 6.726
_cell_length_c 6.726
_cell_angle_alpha 128.47
_cell_angle_beta 100.56
_cell_angle_gamma 101.22
_space_group_name_H-M_alt 'P 1'
_space_group_IT_number 1
loop_
_space_group_symop_operation_xyz
'x,y,z'
loop_
_atom_site_label
_atom_site_type_symbol
_atom_site_fract_x
_atom_site_fract_y
_atom_site_fract_z
_atom_site_occupancy
Re1 Re 0.500 0.000 0.000 1
Re2 Re 0.500 0.500 0.500 1
Tc1 Tc 0.000 0.247 0.247 1
Tc2 Tc 0.000 0.753 0.753 1
Tc3 Tc 0.215 0.748 0.467 1
Tc4 Tc 0.219 0.252 0.967 1
Tc5 Tc 0.219 0.969 0.250 1
Tc6 Tc 0.500 0.247 0.747 1
Tc7 Tc 0.500 0.753 0.253 1
Tc8 Tc 0.781 0.031 0.750 1
Tc9 Tc 0.781 0.748 0.033 1
Tc10 Tc 0.785 0.252 0.533 1
Os1 Os 0.222 0.472 0.750 1
Os2 Os 0.778 0.528 0.250 1
```

---

[3]
Computed XRD peak list
Compound: LiYInSn
Radiation: Cu Ka
Structure: a DFT-relaxed cell (GGA-PBE, Alexandria)

Principal peaks in the range 2θ from 10° to 90°, in order of rising 2θ:
2θ 20.02, I = 17; 2θ 27.43, I = 16; 2θ 34.19, I = 100; 2θ 38.47, I = 18; 2θ 39.87, I = 16; 2θ 40.70, I = 15; 2θ 56.60, I = 12; 2θ 66.86, I = 14; 2θ 68.76, I = 13; 2θ 69.91, I = 12

Structure:
```
data_LiYInSn
_cell_length_a 4.434
_cell_length_b 4.523
_cell_length_c 4.680
_cell_angle_alpha 90.00
_cell_angle_beta 90.00
_cell_angle_gamma 90.00
_space_group_name_H-M_alt 'P 1'
_space_group_IT_number 1
loop_
_space_group_symop_operation_xyz
'x,y,z'
loop_
_atom_site_label
_atom_site_type_symbol
_atom_site_fract_x
_atom_site_fract_y
_atom_site_fract_z
_atom_site_occupancy
Li1 Li 0.000 0.000 0.000 1
Y1 Y 0.000 0.500 0.500 1
In1 In 0.500 0.500 0.000 1
Sn1 Sn 0.500 0.000 0.500 1
```

---

[4]
Computed XRD peak list
Compound: PmTm2S4
Radiation: Cu Ka
Structure: a DFT-relaxed cell (GGA-PBE, Alexandria)

Principal peaks in the range 2θ from 10° to 90°, in order of rising 2θ:
2θ 25.48, I = 37; 2θ 25.91, I = 100; 2θ 27.58, I = 71; 2θ 27.72, I = 32; 2θ 31.14, I = 28; 2θ 37.99, I = 54; 2θ 38.96, I = 24; 2θ 46.25, I = 23; 2θ 47.43, I = 25; 2θ 54.82, I = 30

Structure:
```
data_PmTm2S4
_cell_length_a 11.851
_cell_length_b 3.833
_cell_length_c 13.983
_cell_angle_alpha 90.00
_cell_angle_beta 90.00
_cell_angle_gamma 90.00
_space_group_name_H-M_alt 'P 1'
_space_group_IT_number 1
loop_
_space_group_symop_operation_xyz
'x,y,z'
loop_
_atom_site_label
_atom_site_type_symbol
_atom_site_fract_x
_atom_site_fract_y
_atom_site_fract_z
_atom_site_occupancy
Pm1 Pm 0.247 0.250 0.169 1
Pm2 Pm 0.253 0.750 0.669 1
Pm3 Pm 0.747 0.250 0.331 1
Pm4 Pm 0.753 0.750 0.831 1
Tm1 Tm 0.061 0.250 0.388 1
Tm2 Tm 0.093 0.250 0.906 1
Tm3 Tm 0.407 0.750 0.406 1
Tm4 Tm 0.439 0.750 0.888 1
Tm5 Tm 0.561 0.250 0.112 1
Tm6 Tm 0.593 0.250 0.594 1
Tm7 Tm 0.907 0.750 0.094 1
Tm8 Tm 0.939 0.750 0.612 1
S1 S 0.040 0.750 0.783 1
S2 S 0.097 0.250 0.577 1
S3 S 0.129 0.750 0.040 1
S4 S 0.200 0.750 0.320 1
S5 S 0.300 0.250 0.820 1
S6 S 0.371 0.250 0.540 1
S7 S 0.403 0.750 0.077 1
S8 S 0.460 0.250 0.283 1
S9 S 0.540 0.750 0.717 1
S10 S 0.597 0.250 0.923 1
S11 S 0.629 0.750 0.460 1
S12 S 0.700 0.750 0.180 1
S13 S 0.800 0.250 0.680 1
S14 S 0.871 0.250 0.960 1
S15 S 0.903 0.750 0.423 1
S16 S 0.960 0.250 0.217 1
```

---

[5]
Computed XRD peak list
Compound: Pr4Pd2N
Radiation: Cu Ka
Structure: a DFT-relaxed cell (GGA-PBE, Alexandria)

Principal peaks in the range 2θ from 10° to 90°, in order of rising 2θ:
2θ 25.34, I = 15; 2θ 28.11, I = 87; 2θ 35.26, I = 100; 2θ 36.14, I = 68; 2θ 36.46, I = 17; 2θ 51.42, I = 22; 2θ 52.03, I = 24; 2θ 52.27, I = 25; 2θ 60.18, I = 21; 2θ 64.41, I = 29

Structure:
```
data_Pr4Pd2N
_cell_length_a 8.186
_cell_length_b 8.186
_cell_length_c 8.186
_cell_angle_alpha 144.65
_cell_angle_beta 144.65
_cell_angle_gamma 50.86
_space_group_name_H-M_alt 'P 1'
_space_group_IT_number 1
loop_
_space_group_symop_operation_xyz
'x,y,z'
loop_
_atom_site_label
_atom_site_type_symbol
_atom_site_fract_x
_atom_site_fract_y
_atom_site_fract_z
_atom_site_occupancy
Pr1 Pr 0.000 0.500 0.500 1
Pr2 Pr 0.179 0.179 0.000 1
Pr3 Pr 0.500 0.000 0.500 1
Pr4 Pr 0.821 0.821 0.000 1
Pd1 Pd 0.371 0.371 0.000 1
Pd2 Pd 0.629 0.629 0.000 1
N1 N 0.000 0.000 0.000 1
```

---

[6]
Computed XRD peak list
Compound: BePtS
Radiation: Cu Ka
Structure: a DFT-relaxed cell (GGA-PBE, Alexandria)

Principal peaks in the range 2θ from 10° to 90°, in order of rising 2θ:
2θ 11.53, I = 100; 2θ 29.99, I = 20; 2θ 34.83, I = 30; 2θ 37.08, I = 15; 2θ 37.28, I = 9; 2θ 38.05, I = 26; 2θ 41.91, I = 8; 2θ 42.54, I = 10; 2θ 43.95, I = 14; 2θ 54.11, I = 8

Structure:
```
data_BePtS
_cell_length_a 3.404
_cell_length_b 3.475
_cell_length_c 7.719
_cell_angle_alpha 90.00
_cell_angle_beta 96.21
_cell_angle_gamma 90.00
_space_group_name_H-M_alt 'P 1'
_space_group_IT_number 1
loop_
_space_group_symop_operation_xyz
'x,y,z'
loop_
_atom_site_label
_atom_site_type_symbol
_atom_site_fract_x
_atom_site_fract_y
_atom_site_fract_z
_atom_site_occupancy
Be1 Be 0.000 0.000 0.000 1
Be2 Be 0.428 0.500 0.675 1
Pt1 Pt 0.091 0.000 0.530 1
Pt2 Pt 0.460 0.500 0.350 1
S1 S 0.536 0.000 0.157 1
S2 S 0.953 0.500 0.843 1
```

---

[7]
Computed XRD peak list
Compound: Pm2Pr2Se3
Radiation: Cu Ka
Structure: a DFT-relaxed cell (GGA-PBE, Alexandria)

Principal peaks in the range 2θ from 10° to 90°, in order of rising 2θ:
2θ 26.11, I = 25; 2θ 26.21, I = 25; 2θ 30.12, I = 51; 2θ 30.38, I = 100; 2θ 43.26, I = 38; 2θ 43.37, I = 56; 2θ 43.63, I = 18; 2θ 53.93, I = 20; 2θ 71.54, I = 17; 2θ 79.42, I = 16

Structure:
```
data_Pm2Pr2Se3
_cell_length_a 4.149
_cell_length_b 7.221
_cell_length_c 7.265
_cell_angle_alpha 99.40
_cell_angle_beta 90.03
_cell_angle_gamma 106.67
_space_group_name_H-M_alt 'P 1'
_space_group_IT_number 1
loop_
_space_group_symop_operation_xyz
'x,y,z'
loop_
_atom_site_label
_atom_site_type_symbol
_atom_site_fract_x
_atom_site_fract_y
_atom_site_fract_z
_atom_site_occupancy
Pm1 Pm 0.127 0.254 0.378 1
Pm2 Pm 0.873 0.746 0.622 1
Pr1 Pr 0.376 0.754 0.119 1
Pr2 Pr 0.624 0.246 0.881 1
Se1 Se 0.248 0.496 0.746 1
Se2 Se 0.500 0.000 0.500 1
Se3 Se 0.752 0.504 0.254 1
```

---

[8]
Computed XRD peak list
Compound: Na3CdPb4
Radiation: Cu Ka
Structure: a DFT-relaxed cell (GGA-PBE, Alexandria)

Principal peaks in the range 2θ from 10° to 90°, in order of rising 2θ:
2θ 16.89, I = 73; 2θ 18.07, I = 44; 2θ 21.84, I = 46; 2θ 25.48, I = 59; 2θ 29.25, I = 42; 2θ 30.35, I = 100; 2θ 32.15, I = 55; 2θ 33.61, I = 64; 2θ 37.47, I = 44; 2θ 40.71, I = 57

Structure:
```
data_Na3CdPb4
_cell_length_a 3.532
_cell_length_b 5.596
_cell_length_c 12.381
_cell_angle_alpha 94.98
_cell_angle_beta 98.04
_cell_angle_gamma 90.22
_space_group_name_H-M_alt 'P 1'
_space_group_IT_number 1
loop_
_space_group_symop_operation_xyz
'x,y,z'
loop_
_atom_site_label
_atom_site_type_symbol
_atom_site_fract_x
_atom_site_fract_y
_atom_site_fract_z
_atom_site_occupancy
Na1 Na 0.000 0.000 0.000 1
Na2 Na 0.118 0.350 0.264 1
Na3 Na 0.882 0.650 0.736 1
Cd1 Cd 0.500 0.500 0.000 1
Pb1 Pb 0.273 0.249 0.539 1
Pb2 Pb 0.409 0.159 0.793 1
Pb3 Pb 0.591 0.841 0.207 1
Pb4 Pb 0.727 0.751 0.461 1
```

---

Question: What is the formula in the second record?
Answer: ReTc5Os